No. 1
This entry pairs a crystal structure of TiPt8 with its computed powder XRD pattern. Radiation: copper Kα. Structure: a DFT-relaxed cell (GGA-PBE, the Materials Project).

Peak list (6 most intense, 2θ = 15–90°, sorted by position)
2θ 39.4, rel. 100.0, hkl 3 0 1; 2θ 45.7, rel. 32.8, hkl 3 3 0; 2θ 46.1, rel. 16.2, hkl 0 0 2; 2θ 66.9, rel. 21.3, hkl 3 3 2; 2θ 80.2, rel. 25.5, hkl 6 3 1; 2θ 80.8, rel. 12.8, hkl 3 0 3

Cell and atoms:
```
data_TiPt8
_space_group_name_H-M_alt 'I 4/m m m'
_space_group_IT_number 139
_space_group_name_Hall '-I 4 2'
_cell_length_a 8.4289
_cell_length_b 8.4289
_cell_length_c 3.9403
_cell_angle_alpha 90.00
_cell_angle_beta 90.00
_cell_angle_gamma 90.00
loop_
_atom_site_label
_atom_site_type_symbol
_atom_site_fract_x
_atom_site_fract_y
_atom_site_fract_z
Ti1 Ti 0.0000 0.0000 0.0000
Pt1 Pt 0.0000 0.3290 0.0000
Pt2 Pt 0.1619 0.1619 0.5000
```

=====

No. 2
This entry pairs a crystal structure of ZrTiPt with its computed powder XRD pattern. Radiation: copper Kα. Structure: a DFT-relaxed cell (GGA-PBE, the Materials Project).

Peak list (6 most intense, 2θ = 15–90°, sorted by position)
2θ 19.3, rel. 42.2, hkl 0 0 2; 2θ 33.5, rel. 62.1, hkl 0 1 3; 2θ 36.5, rel. 49.1, hkl 3 0 2; 2θ 38.9, rel. 100.0, hkl 2 2 0; 2θ 39.5, rel. 97.4, hkl 2 1 3; 2θ 39.8, rel. 74.2, hkl 1 2 2

Cell and atoms:
```
data_ZrTiPt
_space_group_name_H-M_alt 'A m m 2'
_space_group_IT_number 38
_cell_length_a 8.7523
_cell_length_b 5.4607
_cell_length_c 9.1945
_cell_angle_alpha 90.00
_cell_angle_beta 90.00
_cell_angle_gamma 90.00
loop_
_space_group_symop_operation_xyz
'x,y,z'
'-x,-y,z'
'-x,y,z'
'x,-y,z'
'x,y+1/2,z+1/2'
'-x,-y+1/2,z+1/2'
'-x,y+1/2,z+1/2'
'x,-y+1/2,z+1/2'
loop_
_atom_site_label
_atom_site_type_symbol
_atom_site_fract_x
_atom_site_fract_y
_atom_site_fract_z
Zr1 Zr 0.1861 0.0000 0.0000
Zr2 Zr 0.3011 0.0000 0.3341
Ti1 Ti 0.0000 0.0000 0.5247
Ti2 Ti 0.5000 0.0000 0.8444
Ti3 Ti 0.5000 0.2437 0.0845
Pt1 Pt 0.0000 0.2458 0.2778
Pt2 Pt 0.2587 0.0000 0.6699
```

=====

No. 3
This entry pairs a crystal structure of Tl2Pt with its computed powder XRD pattern. Radiation: copper Kα. Structure: a DFT-relaxed cell (GGA-PBE, the Materials Project).

Peak list (6 most intense, 2θ = 15–90°, sorted by position)
2θ 31.4, rel. 100.0, hkl 2 1 1; 2θ 31.7, rel. 45.6, hkl 0 0 2; 2θ 38.6, rel. 51.2, hkl 3 1 0; 2θ 50.8, rel. 47.3, hkl 3 1 2; 2θ 53.8, rel. 14.3, hkl 4 1 1; 2θ 56.3, rel. 19.8, hkl 2 1 3

Cell and atoms:
```
data_Tl2Pt
_space_group_name_H-M_alt 'I 4/m c m'
_space_group_IT_number 140
_space_group_name_Hall '-I 4 2c'
_cell_length_a 7.3669
_cell_length_b 7.3669
_cell_length_c 5.6468
_cell_angle_alpha 90.00
_cell_angle_beta 90.00
_cell_angle_gamma 90.00
loop_
_atom_site_label
_atom_site_type_symbol
_atom_site_fract_x
_atom_site_fract_y
_atom_site_fract_z
Tl1 Tl 0.1575 0.3425 0.0000
Pt1 Pt 0.0000 0.0000 0.0000
```

=====

Which formula does entry 1 have? TiPt8